Entry 1:
Theoretical powder diffraction line list
Compound: LaZnCo2
Radiation: Cu Kα (λ = 1.5418 Å)
Structure: a crystal structure in the Materials Project, relaxed with PBE

```
data_LaZnCo2
_cell_length_a 5.2005
_cell_length_b 5.2005
_cell_length_c 16.6710
_cell_angle_alpha 90.00
_cell_angle_beta 90.00
_cell_angle_gamma 120.00
_symmetry_space_group_name_H-M 'P 63/m m c'
_symmetry_Int_Tables_number 194
_symmetry_space_group_name_Hall '-P 6c 2c'
loop_
_atom_site_label
_atom_site_fract_x
_atom_site_fract_y
_atom_site_fract_z
_atom_site_occupancy
La1 0.3333 0.6667 0.0466 1
La2 0.3333 0.6667 0.2500 1
Zn1 0.0000 0.0000 0.0000 1
Zn2 0.0000 0.0000 0.2500 1
Zn3 0.3333 0.6667 0.7500 1
Co1 0.1665 0.3331 0.6279 1
```

Top 10 peaks for 2θ = 15–90°, by angle:
2θ = 33.44°, I = 73, hkl 1 0 5; 2θ = 34.49°, I = 60, hkl 1 1 0; 2θ = 40.42°, I = 39, hkl 2 0 1; 2θ = 40.91°, I = 100, hkl 1 1 4; 2θ = 43.38°, I = 40, hkl 0 0 8; 2θ = 47.91°, I = 14, hkl 1 1 6; 2θ = 61.13°, I = 25, hkl 2 1 5; 2θ = 66.16°, I = 23, hkl 3 0 4; 2θ = 66.64°, I = 14, hkl 1 1 10; 2θ = 72.73°, I = 25, hkl 2 2 0

---

Entry 2:
Theoretical powder diffraction line list
Compound: LaZn2Co
Radiation: Cu Kα (λ = 1.5418 Å)
Structure: a crystal structure in the Materials Project, relaxed with PBE

```
data_LaZn2Co
_cell_length_a 5.295
_cell_length_b 12.613
_cell_length_c 4.434
_cell_angle_alpha 90.00
_cell_angle_beta 90.00
_cell_angle_gamma 90.00
_symmetry_space_group_name_H-M 'C m c m'
_symmetry_Int_Tables_number 63
_symmetry_space_group_name_Hall '-C 2c 2'
loop_
_atom_site_label
_atom_site_fract_x
_atom_site_fract_y
_atom_site_fract_z
_atom_site_occupancy
La1 0.000 0.203 0.250 1
Zn1 0.242 0.443 0.250 1
Co1 0.000 0.382 0.750 1
```

Top 10 peaks for 2θ = 15–90°, by angle:
2θ = 27.15°, I = 63, hkl 1 1 1; 2θ = 33.91°, I = 59, hkl 1 3 1; 2θ = 34.91°, I = 100, hkl 0 4 1; 2θ = 36.82°, I = 61, hkl 2 2 0; 2θ = 39.57°, I = 39, hkl 1 5 0; 2θ = 40.70°, I = 58, hkl 0 0 2; 2θ = 42.26°, I = 95, hkl 2 2 1; 2θ = 56.03°, I = 35, hkl 2 2 2; 2θ = 58.06°, I = 25, hkl 1 5 2; 2θ = 59.93°, I = 24, hkl 2 6 1

---

Entry 3:
Theoretical powder diffraction line list
Compound: LiLu2Co
Radiation: Cu Kα (λ = 1.5418 Å)
Structure: a crystal structure in the Materials Project, relaxed with PBE

```
data_LiLu2Co
_cell_length_a 6.743
_cell_length_b 6.743
_cell_length_c 6.743
_cell_angle_alpha 90.00
_cell_angle_beta 90.00
_cell_angle_gamma 90.00
_symmetry_space_group_name_H-M 'F m -3 m'
_symmetry_Int_Tables_number 225
_symmetry_space_group_name_Hall '-F 4 2 3'
loop_
_atom_site_label
_atom_site_fract_x
_atom_site_fract_y
_atom_site_fract_z
_atom_site_occupancy
Li1 0.000 0.000 0.000 1
Lu1 0.250 0.250 0.250 1
Co1 0.000 0.000 0.500 1
```

Top 10 peaks for 2θ = 15–90°, by angle:
2θ = 22.84°, I = 5, hkl 1 1 1; 2θ = 26.44°, I = 57, hkl 2 0 0; 2θ = 37.73°, I = 100, hkl 2 2 0; 2θ = 44.57°, I = 2, hkl 3 1 1; 2θ = 46.66°, I = 17, hkl 2 2 2; 2θ = 54.43°, I = 17, hkl 4 0 0; 2θ = 61.50°, I = 23, hkl 4 2 0; 2θ = 68.13°, I = 35, hkl 4 2 2; 2θ = 80.59°, I = 11, hkl 4 4 0; 2θ = 86.63°, I = 12, hkl 6 0 0

---

Entry 4:
Theoretical powder diffraction line list
Compound: LiMg14Co
Radiation: Cu Kα (λ = 1.5418 Å)
Structure: a crystal structure in the Materials Project, relaxed with PBE

```
data_LiMg14Co
_cell_length_a 9.834
_cell_length_b 6.389
_cell_length_c 10.842
_cell_angle_alpha 90.00
_cell_angle_beta 90.00
_cell_angle_gamma 90.00
_symmetry_space_group_name_H-M 'A m m 2'
_symmetry_Int_Tables_number 38
loop_
_symmetry_equiv_pos_as_xyz
'x,y,z'
'-x,-y,z'
'-x,y,z'
'x,-y,z'
'x,y+1/2,z+1/2'
'-x,-y+1/2,z+1/2'
'-x,y+1/2,z+1/2'
'x,-y+1/2,z+1/2'
loop_
_atom_site_label
_atom_site_fract_x
_atom_site_fract_y
_atom_site_fract_z
_atom_site_occupancy
Li1 0.000 0.000 0.000 1
Mg1 0.000 0.247 0.244 1
Mg2 0.230 0.241 0.422 1
Mg3 0.237 0.000 0.660 1
Mg4 0.253 0.000 0.166 1
Mg5 0.500 0.000 0.498 1
Mg6 0.500 0.000 0.996 1
Mg7 0.500 0.247 0.750 1
Co1 0.000 0.000 0.499 1
```

Top 10 peaks for 2θ = 15–90°, by angle:
2θ = 18.47°, I = 16, hkl 1 1 1; 2θ = 32.54°, I = 23, hkl 0 2 2; 2θ = 33.05°, I = 14, hkl 0 0 4; 2θ = 36.55°, I = 33, hkl 4 0 0; 2θ = 37.45°, I = 100, hkl 2 2 2; 2θ = 37.90°, I = 45, hkl 2 0 4; 2θ = 49.73°, I = 13, hkl 4 2 2; 2θ = 58.71°, I = 17, hkl 0 2 6; 2θ = 66.39°, I = 15, hkl 6 2 2; 2θ = 71.16°, I = 29, hkl 4 2 6

---

Entry 5:
Theoretical powder diffraction line list
Compound: LiMg14Co
Radiation: Cu Kα (λ = 1.5418 Å)
Structure: a crystal structure in the Materials Project, relaxed with PBE

```
data_LiMg14Co
_cell_length_a 6.3383
_cell_length_b 6.3383
_cell_length_c 9.7393
_cell_angle_alpha 90.00
_cell_angle_beta 90.00
_cell_angle_gamma 120.00
_symmetry_space_group_name_H-M 'P -6 m 2'
_symmetry_Int_Tables_number 187
_symmetry_space_group_name_Hall 'P -6 2'
loop_
_atom_site_label
_atom_site_fract_x
_atom_site_fract_y
_atom_site_fract_z
_atom_site_occupancy
Li1 0.0000 0.0000 0.0000 1
Mg1 0.0038 0.5019 0.0000 1
Mg2 0.1591 0.3183 0.2601 1
Mg3 0.5012 0.0024 0.5000 1
Mg4 0.6667 0.3333 0.2464 1
Co1 0.0000 0.0000 0.5000 1
```

Top 10 peaks for 2θ = 15–90°, by angle:
2θ = 18.55°, I = 16, hkl 1 0 1; 2θ = 29.64°, I = 4, hkl 1 1 1; 2θ = 32.63°, I = 25, hkl 2 0 0; 2θ = 36.92°, I = 23, hkl 0 0 4; 2θ = 37.62°, I = 100, hkl 2 0 2; 2θ = 50.08°, I = 14, hkl 2 0 4; 2θ = 58.22°, I = 17, hkl 2 2 0; 2θ = 66.98°, I = 16, hkl 2 0 6; 2θ = 70.97°, I = 18, hkl 2 2 4; 2θ = 71.42°, I = 13, hkl 4 0 2

---

Entry 6:
Theoretical powder diffraction line list
Compound: Li2CoN2
Radiation: Cu Kα (λ = 1.5418 Å)
Structure: a crystal structure in the Materials Project, relaxed with PBE

```
data_Li2CoN2
_cell_length_a 3.0210
_cell_length_b 3.0210
_cell_length_c 5.1452
_cell_angle_alpha 90.00
_cell_angle_beta 90.00
_cell_angle_gamma 120.00
_symmetry_space_group_name_H-M 'P -3 m 1'
_symmetry_Int_Tables_number 164
_symmetry_space_group_name_Hall '-P 3 2"'
loop_
_atom_site_label
_atom_site_fract_x
_atom_site_fract_y
_atom_site_fract_z
_atom_site_occupancy
Li1 0.3333 0.6667 0.1522 1
Co1 0.0000 0.0000 0.5000 1
N1 0.3333 0.6667 0.6936 1
```

Top 10 peaks for 2θ = 15–90°, by angle:
2θ = 17.23°, I = 100, hkl 0 0 1; 2θ = 34.27°, I = 22, hkl 1 0 0; 2θ = 38.61°, I = 65, hkl 0 1 1; 2θ = 49.70°, I = 45, hkl 0 1 2; 2θ = 61.38°, I = 18, hkl 1 1 0; 2θ = 64.27°, I = 13, hkl 1 1 1; 2θ = 65.02°, I = 15, hkl 1 0 3; 2θ = 74.90°, I = 8, hkl 2 0 1; 2θ = 82.77°, I = 8, hkl 2 0 2; 2θ = 83.80°, I = 7, hkl 1 0 4

---

Entry 7:
Theoretical powder diffraction line list
Compound: LiCoN
Radiation: Cu Kα (λ = 1.5418 Å)
Structure: a crystal structure in the Materials Project, relaxed with PBE

```
data_LiCoN
_cell_length_a 9.964
_cell_length_b 2.841
_cell_length_c 4.224
_cell_angle_alpha 90.00
_cell_angle_beta 90.00
_cell_angle_gamma 90.00
_symmetry_space_group_name_H-M 'P n m a'
_symmetry_Int_Tables_number 62
loop_
_symmetry_equiv_pos_as_xyz
'x,y,z'
'-x,-y,-z'
'-x+1/2,-y,z+1/2'
'x+1/2,y,-z+1/2'
'x+1/2,-y+1/2,-z+1/2'
'-x+1/2,y+1/2,z+1/2'
'-x,y+1/2,-z'
'x,-y+1/2,z'
loop_
_atom_site_label
_atom_site_fract_x
_atom_site_fract_y
_atom_site_fract_z
_atom_site_occupancy
Li1 0.053 0.250 0.210 1
Co1 0.216 0.250 0.725 1
N1 0.144 0.750 0.933 1
```

Top 10 peaks for 2θ = 15–90°, by angle:
2θ = 17.80°, I = 100, hkl 2 0 0; 2θ = 27.69°, I = 17, hkl 2 0 1; 2θ = 38.17°, I = 23, hkl 0 1 1; 2θ = 42.11°, I = 19, hkl 4 0 1; 2θ = 42.42°, I = 45, hkl 2 1 1; 2θ = 42.82°, I = 10, hkl 0 0 2; 2θ = 46.72°, I = 11, hkl 2 0 2; 2θ = 53.52°, I = 12, hkl 4 1 1; 2θ = 57.43°, I = 6, hkl 2 1 2; 2θ = 65.06°, I = 9, hkl 6 1 0

---

Entry 8:
Theoretical powder diffraction line list
Compound: LiCoN
Radiation: Cu Kα (λ = 1.5418 Å)
Structure: a crystal structure in the Materials Project, relaxed with PBE

```
data_LiCoN
_cell_length_a 4.087
_cell_length_b 3.064
_cell_length_c 5.530
_cell_angle_alpha 90.00
_cell_angle_beta 90.00
_cell_angle_gamma 90.00
_symmetry_space_group_name_H-M 'A m m 2'
_symmetry_Int_Tables_number 38
loop_
_symmetry_equiv_pos_as_xyz
'x,y,z'
'-x,-y,z'
'-x,y,z'
'x,-y,z'
'x,y+1/2,z+1/2'
'-x,-y+1/2,z+1/2'
'-x,y+1/2,z+1/2'
'x,-y+1/2,z+1/2'
loop_
_atom_site_label
_atom_site_fract_x
_atom_site_fract_y
_atom_site_fract_z
_atom_site_occupancy
Li1 0.000 0.000 0.000 1
Co1 0.500 0.000 0.327 1
N1 0.500 0.000 0.995 1
```

Top 10 peaks for 2θ = 15–90°, by angle:
2θ = 21.74°, I = 100, hkl 1 0 0; 2θ = 32.38°, I = 21, hkl 0 0 2; 2θ = 33.44°, I = 39, hkl 0 1 1; 2θ = 39.34°, I = 27, hkl 1 0 2; 2θ = 40.24°, I = 51, hkl 1 1 1; 2θ = 44.32°, I = 18, hkl 2 0 0; 2θ = 56.64°, I = 16, hkl 2 1 1; 2θ = 58.43°, I = 14, hkl 0 1 3; 2θ = 63.10°, I = 16, hkl 1 1 3; 2θ = 76.18°, I = 12, hkl 2 1 3